Entry 1:
The following is a theoretical powder diffraction line list of RbCeNb2O8. It was derived from the GGA-PBE geometry in Alexandria, using Cu Kα, 1.54184 Å.
Intensities are scaled so that the largest is 100.

Most intense lines, 2θ = 10–90°, in order of rising 2θ:
d [Å], I_rel
5.339, 28
4.433, 100
3.189, 83
3.083, 76
2.216, 40
1.956, 20
1.800, 32
1.780, 15
1.671, 29
1.541, 15

Structure:
Unit cell a=6.1655 b=6.1655 c=7.9518 alpha=90.00 beta=90.00 gamma=120.00
Space group P-3 (No. 147)
Unique sites:
Rb 0.0000 0.0000 0.0000 [1 per cell]
Ce 0.0000 0.0000 0.5000 [1 per cell]
Nb 0.3333 0.6667 0.7487 [2 per cell]
O 0.1645 0.3311 0.6744 [6 per cell]
O 0.3333 0.6667 0.9801 [2 per cell]

Entry 2:
The following is a theoretical powder diffraction line list of SrIn2Br2. It was derived from the GGA-PBE geometry in Alexandria, using Cu Kα, 1.54184 Å.
Intensities are scaled so that the largest is 100.

Most intense lines, 2θ = 10–90°, in order of rising 2θ:
d [Å], I_rel
5.045, 23
3.800, 23
3.250, 78
3.035, 100
3.004, 29
2.687, 36
2.522, 38
2.372, 39
2.357, 24
1.839, 23

Structure:
Unit cell a=8.498 b=8.498 c=5.045 alpha=90.00 beta=90.00 gamma=90.00
Space group P4/mbm (No. 127)
Unique sites:
Sr 0.000 0.000 0.000 [2 per cell]
In 0.124 0.376 0.000 [4 per cell]
Br 0.224 0.724 0.500 [4 per cell]

> Which formula does entry 2 have?

SrIn2Br2